Simulated XRD peak list of Li3Fe5OF11 for Cu Kα (λ = 1.5418 Å), from a DFT-relaxed cell (GGA+U, Alexandria).
No peak broadening, texture or thermal motion is included.

Most intense lines, 10 to 90 degrees two-theta, by intensity:
2theta, I_rel, (hkl)
39.0, 100, 1 1 -3
31.6, 77, -1 1 1
18.6, 71, 0 1 0
20.3, 68, 1 0 -1
23.1, 50, 1 1 -1
38.6, 49, 2 0 0
33.7, 46, 1 1 3
51.1, 46, 2 -1 0
31.9, 36, 1 2 1
22.8, 33, 1 0 1

Structural model:
```
data_Li3Fe5OF11
_chemical_formula_sum 'Li3 Fe5 O1 F11'
_symmetry_space_group_name_H-M 'P 1'
_symmetry_Int_Tables_number 1
_symmetry_space_group_name_Hall 'P 1'
_cell_length_a 5.310
_cell_length_b 5.643
_cell_length_c 9.186
_cell_angle_alpha 74.33
_cell_angle_beta 89.53
_cell_angle_gamma 62.56
loop_
_atom_site_label
_atom_site_fract_x
_atom_site_fract_y
_atom_site_fract_z
_atom_site_occupancy
Li1 0.000 0.000 0.000 1
Li2 0.069 0.857 0.356 1
Li3 0.494 0.013 0.486 1
Fe1 0.254 0.516 0.756 1
Fe2 0.322 0.407 0.096 1
Fe3 0.540 0.879 0.858 1
Fe4 0.769 0.477 0.258 1
Fe5 0.798 0.396 0.599 1
O1 0.315 0.681 0.905 1
F1 0.215 0.215 0.294 1
F2 0.240 0.194 0.958 1
F3 0.253 0.215 0.646 1
F4 0.336 0.678 0.222 1
F5 0.350 0.703 0.546 1
F6 0.713 0.168 0.800 1
F7 0.763 0.181 0.463 1
F8 0.774 0.175 0.156 1
F9 0.804 0.685 0.700 1
F10 0.812 0.693 0.402 1
F11 0.851 0.698 0.057 1
```